The following is a theoretical X-ray diffraction stick pattern of CoTe3. It was derived from DFT lattice parameters and positions (PBE), using Cu Kα, 1.54184 Å.

Top 10 peaks for 2θ = 5–70°, in order of rising 2θ:
10.41°, d = 8.497 Å, intensity 14, (0 0 3)
31.49°, d = 2.841 Å, intensity 100, (1 0 4)
31.59°, d = 2.832 Å, intensity 23, (0 0 9)
33.25°, d = 2.695 Å, intensity 40, (0 1 5)
37.59°, d = 2.393 Å, intensity 13, (1 0 7)
40.10°, d = 2.249 Å, intensity 18, (0 1 8)
45.65°, d = 1.987 Å, intensity 15, (1 0 10)
49.75°, d = 1.833 Å, intensity 37, (1 1 0)
58.43°, d = 1.579 Å, intensity 18, (0 1 14)
60.11°, d = 1.539 Å, intensity 37, (0 2 4)

Cell and atoms:
a b c (Å): 3.665 3.665 25.490
angles (deg): 90.00 90.00 120.00
Element x y z (fractional)
1 Co 0.000 0.000 0.000
2 Co 0.333 0.667 0.667
3 Co 0.667 0.333 0.333
4 Te 0.000 0.000 0.279
5 Te 0.000 0.000 0.500
6 Te 0.000 0.000 0.721
7 Te 0.333 0.667 0.167
8 Te 0.333 0.667 0.388
9 Te 0.333 0.667 0.945
10 Te 0.667 0.333 0.055
11 Te 0.667 0.333 0.612
12 Te 0.667 0.333 0.833